1.
Simulated powder diffraction line list of NaNbNO2 for a wavelength of 1.5418 Å, from a cell relaxed with PBE.

Cell and atoms:
Unit cell a=4.033 b=4.033 c=4.101 alpha=90.00 beta=90.00 gamma=90.00
Space group P4/mmm (No. 123)
One atom of each set of equivalent atoms:
Na  0.000  0.000  0.000 x1
Nb  0.500  0.500  0.500 x1
N  0.500  0.500  0.000 x1
O  0.000  0.500  0.500 x2

Most intense lines, 10° ≤ 2θ ≤ 90°, sorted by position:
hkl 0 0 1, 2θ 21.7, intensity 47.5; hkl 1 0 0, 2θ 22.0, intensity 80.3; hkl 1 0 1, 2θ 31.1, intensity 100.0; hkl 1 1 0, 2θ 31.4, intensity 43.4; hkl 0 0 2, 2θ 44.2, intensity 22.0; hkl 2 0 0, 2θ 45.0, intensity 41.5; hkl 2 0 1, 2θ 50.4, intensity 17.7; hkl 1 1 2, 2θ 55.2, intensity 17.6; hkl 2 1 1, 2θ 55.7, intensity 38.4; hkl 2 0 2, 2θ 64.9, intensity 24.3

***

2.
Simulated powder diffraction line list of NaNbP2N6 for a wavelength of 1.5418 Å, from a cell relaxed with PBE.

Cell and atoms:
Unit cell a=10.658 b=11.436 c=5.214 alpha=90.00 beta=112.68 gamma=90.00
Space group C2/c (No. 15)
One atom of each set of equivalent atoms:
Na  0.000  0.069  0.250 x4
Nb  0.000  0.252  0.750 x4
P  0.229  0.426  0.230 x8
N  0.100  0.344  0.073 x8
N  0.127  0.143  0.694 x8
N  0.232  0.464  0.534 x8

Most intense lines, 10° ≤ 2θ ≤ 90°, sorted by position:
hkl 1 1 -1, 2θ 18.8, intensity 71.6; hkl 2 2 0, 2θ 23.9, intensity 100.0; hkl 0 2 1, 2θ 24.2, intensity 20.1; hkl 1 1 1, 2θ 24.8, intensity 29.7; hkl 2 2 -1, 2θ 25.6, intensity 36.2; hkl 3 1 -1, 2θ 27.5, intensity 33.3; hkl 1 3 -1, 2θ 29.1, intensity 47.7; hkl 1 3 1, 2θ 33.4, intensity 23.9; hkl 4 0 0, 2θ 36.6, intensity 16.9; hkl 0 0 2, 2θ 37.4, intensity 17.7

***

3.
Simulated powder diffraction line list of Na3PaNb2N6 for a wavelength of 1.5418 Å, from a cell relaxed with PBE.

Cell and atoms:
Unit cell a=14.844 b=3.279 c=6.892 alpha=90.00 beta=106.57 gamma=90.00
Space group C2/m (No. 12)
One atom of each set of equivalent atoms:
Na  0.000  0.000  0.000 x2
Na  0.173  0.500  0.335 x4
Pa  0.000  0.000  0.500 x2
Nb  0.169  0.500  0.848 x4
N  0.021  0.500  0.738 x4
N  0.157  0.000  0.630 x4
N  0.180  0.000  0.055 x4

Most intense lines, 10° ≤ 2θ ≤ 90°, sorted by position:
hkl 2 0 0, 2θ 12.4, intensity 14.5; hkl 2 0 -1, 2θ 15.5, intensity 100.0; hkl 4 0 -2, 2θ 31.3, intensity 23.6; hkl 1 1 1, 2θ 31.9, intensity 40.9; hkl 2 0 2, 2θ 33.0, intensity 18.7; hkl 3 1 0, 2θ 33.2, intensity 37.4; hkl 1 1 -2, 2θ 37.9, intensity 72.0; hkl 7 1 -2, 2θ 53.6, intensity 16.5; hkl 5 1 2, 2θ 55.8, intensity 14.8; hkl 9 1 0, 2θ 65.6, intensity 14.3

***

4.
Simulated powder diffraction line list of NaSc2Nb3N6 for a wavelength of 1.5418 Å, from a cell relaxed with PBE.

Cell and atoms:
Unit cell a=13.941 b=3.132 c=6.387 alpha=90.00 beta=105.29 gamma=90.00
Space group C2/m (No. 12)
One atom of each set of equivalent atoms:
Na  0.000  0.000  0.000 x2
Sc  0.163  0.500  0.325 x4
Nb  0.000  0.000  0.500 x2
Nb  0.160  0.500  0.821 x4
N  0.001  0.500  0.735 x4
N  0.168  0.000  0.582 x4
N  0.174  0.000  0.076 x4

Most intense lines, 10° ≤ 2θ ≤ 90°, sorted by position:
hkl 2 0 -1, 2θ 16.8, intensity 66.4; hkl 1 1 1, 2θ 33.6, intensity 31.6; hkl 4 0 -2, 2θ 33.9, intensity 37.2; hkl 3 1 0, 2θ 34.9, intensity 67.3; hkl 2 0 2, 2θ 35.1, intensity 32.4; hkl 6 0 0, 2θ 40.2, intensity 49.1; hkl 1 1 -2, 2θ 40.3, intensity 100.0; hkl 7 1 -2, 2θ 57.5, intensity 31.7; hkl 5 1 2, 2θ 59.1, intensity 27.6; hkl 4 2 -2, 2θ 69.8, intensity 19.1

***

5.
Simulated powder diffraction line list of NaNdTcN3 for a wavelength of 1.5418 Å, from a cell relaxed with PBE.

Cell and atoms:
Unit cell a=13.849 b=3.898 c=7.027 alpha=90.00 beta=107.45 gamma=90.00
Space group C2/m (No. 12)
One atom of each set of equivalent atoms:
Na  0.132  0.000  0.077 x4
Nd  0.166  0.000  0.604 x4
Tc  0.002  0.500  0.310 x4
N  0.009  0.000  0.310 x4
N  0.135  0.500  0.831 x4
N  0.155  0.500  0.359 x4

Most intense lines, 10° ≤ 2θ ≤ 90°, sorted by position:
hkl 0 0 1, 2θ 13.2, intensity 100.0; hkl 1 1 -1, 2θ 26.3, intensity 18.5; hkl 3 1 0, 2θ 30.6, intensity 72.6; hkl 3 1 -1, 2θ 30.9, intensity 25.0; hkl 4 0 -2, 2θ 31.8, intensity 32.5; hkl 2 0 2, 2θ 33.4, intensity 26.5; hkl 1 1 -2, 2θ 34.4, intensity 67.7; hkl 6 0 0, 2θ 41.0, intensity 25.2; hkl 0 2 0, 2θ 46.6, intensity 26.4; hkl 5 1 2, 2θ 55.6, intensity 14.6

***

6.
Simulated powder diffraction line list of Na3NiN2 for a wavelength of 1.5418 Å, from a cell relaxed with PBE.

Cell and atoms:
Unit cell a=7.980 b=7.980 c=12.606 alpha=90.00 beta=90.00 gamma=90.00
Space group I4_1/amd (No. 141, origin choice 2)
One atom of each set of equivalent atoms:
Na  0.000  0.250  0.259 x8
Na  0.209  0.041  0.875 x16
Ni  0.000  0.250  0.036 x8
N  0.000  0.038  0.712 x16

Most intense lines, 10° ≤ 2θ ≤ 90°, sorted by position:
hkl 1 0 1, 2θ 13.1, intensity 43.6; hkl 1 1 2, 2θ 21.1, intensity 23.0; hkl 2 0 0, 2θ 22.3, intensity 36.8; hkl 1 0 3, 2θ 23.9, intensity 40.1; hkl 2 2 0, 2θ 31.7, intensity 64.8; hkl 2 1 3, 2θ 32.9, intensity 32.3; hkl 2 0 4, 2θ 36.3, intensity 100.0; hkl 3 0 3, 2θ 40.1, intensity 24.9; hkl 4 0 0, 2θ 45.5, intensity 39.3; hkl 4 2 4, 2θ 59.5, intensity 25.8

***

7.
Simulated powder diffraction line list of Na6NpN4 for a wavelength of 1.5418 Å, from a cell relaxed with PBE.

Cell and atoms:
Unit cell a=8.079 b=8.079 c=5.452 alpha=90.00 beta=90.00 gamma=90.00
Space group P4_2/nmc (No. 137, origin choice 2)
One atom of each set of equivalent atoms:
Na  0.045  0.545  0.250 x8
Na  0.250  0.250  0.071 x4
Np  0.250  0.750  0.750 x2
N  0.007  0.750  0.666 x8

Most intense lines, 10° ≤ 2θ ≤ 90°, sorted by position:
hkl 1 1 0, 2θ 15.5, intensity 57.4; hkl 1 0 1, 2θ 19.6, intensity 100.0; hkl 2 0 0, 2θ 22.0, intensity 27.6; hkl 2 1 1, 2θ 29.7, intensity 73.6; hkl 2 2 0, 2θ 31.3, intensity 26.2; hkl 1 1 2, 2θ 36.5, intensity 29.5; hkl 3 0 1, 2θ 37.2, intensity 40.3; hkl 3 1 2, 2θ 48.9, intensity 20.8; hkl 4 1 1, 2θ 49.4, intensity 20.2; hkl 4 0 2, 2θ 56.7, intensity 23.0

***

8.
Simulated powder diffraction line list of Na3NpN3 for a wavelength of 1.5418 Å, from a cell relaxed with PBE.

Cell and atoms:
Unit cell a=6.818 b=6.916 c=10.119 alpha=90.00 beta=90.00 gamma=90.00
Space group Imma (No. 74)
One atom of each set of equivalent atoms:
Na  0.000  0.250  0.214 x4
Na  0.238  0.000  0.000 x8
Np  0.000  0.250  0.770 x4
N  0.000  0.250  0.965 x4
N  0.250  0.061  0.750 x8

Most intense lines, 10° ≤ 2θ ≤ 90°, sorted by position:
hkl 0 1 1, 2θ 15.5, intensity 100.0; hkl 0 0 2, 2θ 17.5, intensity 35.9; hkl 0 1 3, 2θ 29.5, intensity 21.2; hkl 2 1 1, 2θ 30.5, intensity 32.6; hkl 0 2 2, 2θ 31.3, intensity 27.1; hkl 2 0 2, 2θ 31.6, intensity 24.7; hkl 2 2 0, 2θ 37.0, intensity 28.6; hkl 2 1 3, 2θ 39.8, intensity 13.3; hkl 2 2 2, 2θ 41.2, intensity 15.8; hkl 2 2 4, 2θ 52.2, intensity 15.8

***

9.
Simulated powder diffraction line list of NaNpPa4N8 for a wavelength of 1.5418 Å, from a cell relaxed with PBE.

Cell and atoms:
Unit cell a=7.1165 b=7.1165 c=15.5958 alpha=90.00 beta=90.00 gamma=120.00
Space group R3m (No. 160, hexagonal axes)
One atom of each set of equivalent atoms:
Na  0.0000  0.0000  0.0000 x3
Np  0.0000  0.0000  0.3820 x3
Pa  0.0000  0.0000  0.6010 x3
Pa  0.0005  0.5002  0.4974 x9
N  0.0000  0.0000  0.2370 x3
N  0.0000  0.0000  0.7520 x3
N  0.0116  0.5058  0.7676 x9
N  0.1758  0.3516  0.5717 x9

Most intense lines, 10° ≤ 2θ ≤ 90°, sorted by position:
hkl 0 0 3, 2θ 17.1, intensity 27.1; hkl 1 0 4, 2θ 27.1, intensity 48.6; hkl 0 2 1, 2θ 29.5, intensity 100.0; hkl 1 1 3, 2θ 30.4, intensity 41.4; hkl 2 0 2, 2θ 31.2, intensity 40.4; hkl 0 1 5, 2θ 32.2, intensity 36.9; hkl 2 1 4, 2θ 45.4, intensity 24.6; hkl 1 2 5, 2θ 48.8, intensity 24.6; hkl 2 2 0, 2θ 51.4, intensity 35.0; hkl 2 0 8, 2θ 55.8, intensity 20.6

***

10.
Simulated powder diffraction line list of Na4Np3PaN8 for a wavelength of 1.5418 Å, from a cell relaxed with PBE.

Cell and atoms:
Unit cell a=7.0335 b=7.0335 c=16.9699 alpha=90.00 beta=90.00 gamma=120.00
Space group R-3m (No. 166, hexagonal axes)
One atom of each set of equivalent atoms:
Na  0.0000  0.0000  0.0000 x3
Na  0.0000  0.5000  0.0000 x9
Np  0.0000  0.5000  0.5000 x9
Pa  0.0000  0.0000  0.5000 x3
N  0.0000  0.0000  0.2268 x6
N  0.0053  0.5027  0.7733 x18

Most intense lines, 10° ≤ 2θ ≤ 90°, sorted by position:
hkl 0 0 3, 2θ 15.7, intensity 100.0; hkl 0 2 1, 2θ 29.8, intensity 55.9; hkl 2 0 2, 2θ 31.2, intensity 63.9; hkl 0 0 6, 2θ 31.6, intensity 22.3; hkl 0 2 4, 2θ 36.3, intensity 63.7; hkl 2 0 5, 2θ 39.8, intensity 23.2; hkl 2 2 0, 2θ 52.0, intensity 23.2; hkl 2 0 8, 2θ 52.6, intensity 20.3; hkl 2 2 3, 2θ 54.7, intensity 24.7; hkl 2 2 6, 2θ 62.2, intensity 20.8

***

11.
Simulated powder diffraction line list of RbNaNpN3 for a wavelength of 1.5418 Å, from a cell relaxed with PBE.

Cell and atoms:
Unit cell a=6.103 b=12.541 c=5.978 alpha=90.00 beta=97.68 gamma=90.00
Space group C2/c (No. 15)
One atom of each set of equivalent atoms:
Rb  0.000  0.243  0.250 x4
Na  0.000  0.073  0.750 x4
Np  0.000  0.433  0.750 x4
N  0.000  0.282  0.750 x4
N  0.191  0.459  0.505 x8

Most intense lines, 10° ≤ 2θ ≤ 90°, sorted by position:
hkl 1 1 0, 2θ 16.3, intensity 100.0; hkl 0 2 1, 2θ 20.6, intensity 41.2; hkl 1 3 -1, 2θ 29.0, intensity 58.9; hkl 2 0 0, 2θ 29.5, intensity 35.2; hkl 0 0 2, 2θ 30.2, intensity 31.9; hkl 1 3 1, 2θ 31.0, intensity 62.8; hkl 0 4 1, 2θ 32.3, intensity 16.3; hkl 2 0 -2, 2θ 39.6, intensity 19.9; hkl 2 0 2, 2θ 45.6, intensity 18.8; hkl 2 6 0, 2θ 53.3, intensity 15.5

***

12.
Simulated powder diffraction line list of Na4Np3SbN8 for a wavelength of 1.5418 Å, from a cell relaxed with PBE.

Cell and atoms:
Unit cell a=6.9417 b=6.9417 c=16.9867 alpha=90.00 beta=90.00 gamma=120.00
Space group R-3m (No. 166, hexagonal axes)
One atom of each set of equivalent atoms:
Na  0.0000  0.0000  0.0000 x3
Na  0.0000  0.5000  0.0000 x9
Np  0.0000  0.5000  0.5000 x9
Sb  0.0000  0.0000  0.5000 x3
N  0.0000  0.0000  0.2291 x6
N  0.0293  0.5147  0.7715 x18

Most intense lines, 10° ≤ 2θ ≤ 90°, sorted by position:
hkl 0 0 3, 2θ 15.6, intensity 100.0; hkl 0 2 1, 2θ 30.2, intensity 53.1; hkl 0 0 6, 2θ 31.6, intensity 80.0; hkl 0 2 4, 2θ 36.6, intensity 61.5; hkl 2 0 5, 2θ 40.1, intensity 22.0; hkl 0 2 7, 2θ 48.2, intensity 23.5; hkl 2 2 0, 2θ 52.8, intensity 41.3; hkl 2 2 3, 2θ 55.4, intensity 23.3; hkl 0 2 10, 2θ 62.8, intensity 38.5; hkl 2 4 4, 2θ 89.3, intensity 17.9